# NaMn16O32
Computed powder X-ray diffraction pattern, Cu Kα, 1.54184 Å. Input: a cell relaxed with GGA+U.
No peak broadening, texture or thermal motion is included.

Cell and atoms:
```
NaMn16O32
1.0
9.938 0.000 0.000
0.000 9.938 0.000
0.000 0.000 5.879
Na Mn O
1 16 32
Direct
0.000 0.000 0.000
0.151 0.666 0.251
0.151 0.666 0.749
0.167 0.348 0.500
0.167 0.349 0.000
0.334 0.151 0.251
0.334 0.151 0.749
0.348 0.833 0.500
0.349 0.833 0.000
0.651 0.167 0.000
0.652 0.167 0.500
0.666 0.849 0.251
0.666 0.849 0.749
0.833 0.651 0.000
0.833 0.652 0.500
0.849 0.334 0.251
0.849 0.334 0.749
0.043 0.332 0.250
0.043 0.332 0.750
0.154 0.798 0.000
0.155 0.796 0.500
0.163 0.542 0.000
0.163 0.542 0.500
0.202 0.154 0.000
0.204 0.155 0.500
0.296 0.343 0.250
0.296 0.343 0.750
0.332 0.957 0.250
0.332 0.957 0.750
0.343 0.704 0.250
0.343 0.704 0.750
0.458 0.163 0.000
0.458 0.163 0.500
0.542 0.837 0.000
0.542 0.837 0.500
0.657 0.296 0.250
0.657 0.296 0.750
0.668 0.043 0.250
0.668 0.043 0.750
0.704 0.657 0.250
0.704 0.657 0.750
0.796 0.845 0.500
0.798 0.846 0.000
0.837 0.458 0.000
0.837 0.458 0.500
0.845 0.204 0.500
0.846 0.202 0.000
0.957 0.668 0.250
0.957 0.668 0.750
```

Main lines, low angle first (2θ from 15° to 90°):
hkl 2 0 0, 17.85°, intensity 100.0; hkl 3 1 0, 28.40°, intensity 73.4; hkl 1 2 2, 36.65°, intensity 86.9; hkl 4 1 2, 48.86°, intensity 46.9; hkl 5 2 2, 59.11°, intensity 48.2; hkl 4 5 2, 68.35°, intensity 32.7